No. 1
Structure and calculated X-ray diffraction stick pattern of Ac3SmHo (DFT lattice parameters and positions (GGA-PBE); Cu Kα (weighted mean of Kα1 and Kα2)).
Peak positions follow from Bragg's law for the DFT cell and can differ from measured ones.

Most intense lines, 10 to 80 degrees two-theta, by intensity:
- 2θ 26.1, d 3.413, rel. 100, hkl 1 1 3
- 2θ 30.9, d 2.892, rel. 76, hkl 1 2 3
- 2θ 29.2, d 3.060, rel. 59, hkl 0 3 1
- 2θ 28.8, d 3.099, rel. 56, hkl 2 1 0
- 2θ 31.7, d 2.819, rel. 47, hkl 1 1 4
- 2θ 46.3, d 1.960, rel. 30, hkl 3 0 3
- 2θ 50.8, d 1.797, rel. 28, hkl 2 1 6
- 2θ 26.9, d 3.314, rel. 28, hkl 1 2 2

Atomic structure:
Cell: 6.5624 9.4350 13.2314 Å, 90.00 90.00 90.00°
Space group Pnna (No. 52)
Asymmetric unit:
Ac: 0.0875 0.1728 0.0742
Ac: 0.1360 0.2500 0.7500
Sm: 0.2500 0.0000 0.5575
Ho: 0.2500 0.0000 0.3058

No. 2
Structure and calculated X-ray diffraction stick pattern of AcSm4Ho3 (DFT lattice parameters and positions (GGA-PBE); Cu Kα (weighted mean of Kα1 and Kα2)).
Peak positions follow from Bragg's law for the DFT cell and can differ from measured ones.

Most intense lines, 10 to 80 degrees two-theta, by intensity:
- 2θ 31.7, d 2.823, rel. 100, hkl 1 1 4
- 2θ 30.3, d 2.952, rel. 31, hkl 0 2 0
- 2θ 28.8, d 3.099, rel. 23, hkl 0 0 8
- 2θ 54.7, d 1.678, rel. 22, hkl 1 3 4
- 2θ 42.3, d 2.137, rel. 17, hkl 0 2 8
- 2θ 58.2, d 1.586, rel. 10, hkl 2 2 0
- 2θ 52.9, d 1.731, rel. 10, hkl 1 1 12
- 2θ 66.2, d 1.411, rel. 9, hkl 2 2 8

Atomic structure:
Cell: 3.7592 5.9041 24.7907 Å, 90.00 90.00 90.00°
Space group Immm (No. 71)
Asymmetric unit:
Ac: 0.0000 0.0000 0.0000
Sm: 0.0000 0.5000 0.1141
Sm: 0.0000 0.5000 0.3584
Ho: 0.0000 0.0000 0.2659
Ho: 0.0000 0.0000 0.5000

No. 3
Structure and calculated X-ray diffraction stick pattern of Ac2Sm5Ho4 (DFT lattice parameters and positions (GGA-PBE); Cu Kα (weighted mean of Kα1 and Kα2)).
Peak positions follow from Bragg's law for the DFT cell and can differ from measured ones.

Most intense lines, 10 to 80 degrees two-theta, by intensity:
- 2θ 29.9, d 2.989, rel. 100, hkl 0 1 2
- 2θ 34.7, d 2.585, rel. 68, hkl 2 0 1
- 2θ 30.0, d 2.975, rel. 33, hkl -2 1 1
- 2θ 59.2, d 1.560, rel. 24, hkl 3 2 0
- 2θ 49.8, d 1.833, rel. 16, hkl 1 -1 4
- 2θ 50.0, d 1.824, rel. 16, hkl 3 1 -2
- 2θ 49.9, d 1.828, rel. 16, hkl -2 2 3
- 2θ 59.3, d 1.557, rel. 14, hkl 2 3 -4

Atomic structure:
Cell: 6.3135 8.1773 8.1851 Å, 107.43 97.25 104.83°
Space group P-1 (No. 2)
Asymmetric unit:
Ac: 0.1391 0.0472 0.2314
Sm: 0.2271 0.4145 0.0460
Sm: 0.4104 0.1407 0.6848
Sm: 0.5000 0.5000 0.5000
Ho: 0.0485 0.6746 0.4088
Ho: 0.3183 0.7670 0.8621

No. 4
Structure and calculated X-ray diffraction stick pattern of Ac5Sm4Ho (DFT lattice parameters and positions (GGA-PBE); Cu Kα (weighted mean of Kα1 and Kα2)).
Peak positions follow from Bragg's law for the DFT cell and can differ from measured ones.

Most intense lines, 10 to 80 degrees two-theta, by intensity:
- 2θ 28.8, d 3.096, rel. 100, hkl 1 0 5
- 2θ 32.7, d 2.740, rel. 36, hkl 1 1 0
- 2θ 56.0, d 1.642, rel. 32, hkl 2 1 5
- 2θ 48.5, d 1.876, rel. 24, hkl 1 1 10
- 2θ 34.8, d 2.575, rel. 15, hkl 0 0 10
- 2θ 46.9, d 1.937, rel. 13, hkl 2 0 0
- 2θ 58.8, d 1.570, rel. 13, hkl 1 0 15
- 2θ 59.7, d 1.548, rel. 13, hkl 2 0 10

Atomic structure:
Cell: 3.8747 3.8747 25.7529 Å, 90.00 90.00 90.00°
Space group P4/mmm (No. 123)
Asymmetric unit:
Ac: 0.0000 0.0000 0.0000
Ac: 0.0000 0.0000 0.2016
Ac: 0.0000 0.0000 0.4027
Sm: 0.5000 0.5000 0.1008
Sm: 0.5000 0.5000 0.3026
Ho: 0.5000 0.5000 0.5000

No. 5
Structure and calculated X-ray diffraction stick pattern of AcSm4Ho2 (DFT lattice parameters and positions (GGA-PBE); Cu Kα (weighted mean of Kα1 and Kα2)).
Peak positions follow from Bragg's law for the DFT cell and can differ from measured ones.

Most intense lines, 10 to 80 degrees two-theta, by intensity:
- 2θ 31.8, d 2.816, rel. 100, hkl 1 0 3
- 2θ 31.8, d 2.810, rel. 67, hkl 1 2 -1
- 2θ 30.5, d 2.932, rel. 50, hkl 2 2 2
- 2θ 32.0, d 2.799, rel. 32, hkl 0 3 1
- 2θ 27.8, d 3.207, rel. 30, hkl -1 1 2
- 2θ 49.3, d 1.847, rel. 26, hkl -2 3 2
- 2θ 58.9, d 1.567, rel. 23, hkl 4 -1 0
- 2θ 54.9, d 1.671, rel. 21, hkl 3 2 5

Atomic structure:
Cell: 6.9505 8.6473 9.4482 Å, 65.26 71.66 76.69°
Space group P1 (No. 1)
Asymmetric unit:
Ac: 0.0000 0.0000 0.0000
Ac: 0.4749 0.8877 0.1294
Sm: 0.0425 0.1873 0.2715
Sm: 0.1872 0.7507 0.5568
Sm: 0.4288 0.7043 0.8586
Sm: 0.5602 0.2835 0.1513
Sm: 0.7136 0.8487 0.4384
Sm: 0.7572 0.0430 0.6901
Sm: 0.8544 0.4222 0.7144
Sm: 0.9101 0.6045 0.9793
Ho: 0.1344 0.5553 0.2976
Ho: 0.2868 0.1397 0.5710
Ho: 0.3380 0.3337 0.8299
Ho: 0.6165 0.4638 0.4133

No. 6
Structure and calculated X-ray diffraction stick pattern of AcSm12Ho5 (DFT lattice parameters and positions (GGA-PBE); Cu Kα (weighted mean of Kα1 and Kα2)).
Peak positions follow from Bragg's law for the DFT cell and can differ from measured ones.

Most intense lines, 10 to 80 degrees two-theta, by intensity:
- 2θ 30.2, d 2.955, rel. 100, hkl 3 3 1
- 2θ 35.1, d 2.559, rel. 51, hkl 0 0 2
- 2θ 50.4, d 1.809, rel. 36, hkl 6 0 2
- 2θ 59.9, d 1.544, rel. 29, hkl 9 3 1
- 2θ 60.0, d 1.542, rel. 14, hkl 3 3 3
- 2θ 62.9, d 1.477, rel. 12, hkl 6 6 2
- 2θ 74.0, d 1.280, rel. 4, hkl 12 0 0
- 2θ 74.2, d 1.278, rel. 2, hkl 0 0 4

Atomic structure:
Cell: 15.3582 15.3681 5.1118 Å, 90.00 90.00 90.00°
Space group Cmmm (No. 65)
Asymmetric unit:
Ac: 0.0000 0.0000 0.0000
Sm: 0.1645 0.3342 0.5000
Sm: 0.1646 0.5000 0.0000
Sm: 0.1678 0.1689 0.0000
Sm: 0.1707 0.0000 0.5000
Ho: 0.0000 0.1711 0.5000
Ho: 0.0000 0.3337 0.0000
Ho: 0.0000 0.5000 0.5000